Simulated XRD peak list
Compound: K3Pu2O5F2
Radiation: Cu Kα
Structure: a PBE-relaxed structure
Intensities are scaled so that the largest is 100.

Crystal structure
a = 11.8074 Å, b = 11.8074 Å, c = 11.8074 Å
α = 159.09°, β = 159.09°, γ = 29.73°
Fractional coordinates of all 12 atoms:
K1 0.0000 0.0000 0.0000
K2 0.1873 0.1873 0.0000
K3 0.8127 0.8127 0.0000
Pu1 0.4060 0.4060 0.0000
Pu2 0.5940 0.5940 0.0000
O1 0.0984 0.5984 0.5000
O2 0.4016 0.9016 0.5000
O3 0.5000 0.5000 0.0000
O4 0.5984 0.0984 0.5000
O5 0.9016 0.4016 0.5000
F1 0.3028 0.3028 0.0000
F2 0.6972 0.6972 0.0000

Top 10 peaks for 10 to 90 degrees two-theta, sorted by position:
2θ/deg, d [Å], I/Imax
15.53, 5.706, 39.3
21.10, 4.211, 91.2
28.57, 3.124, 100.0
29.48, 3.030, 57.9
42.18, 2.142, 32.6
47.63, 1.909, 22.9
48.77, 1.867, 24.2
50.03, 1.823, 22.0
51.74, 1.767, 39.8
59.15, 1.562, 19.3